(1)
Theoretical powder X-ray diffraction pattern
Compound: Ta3Te6Pb
Radiation: Cu Ka
Structure: a structure optimized by DFT (PBE)

Main lines, in order of rising 2θ (2θ from 10° to 90°):
2θ/deg, Rel. int.
10.63, 57.5
19.07, 16.4
28.05, 39.1
35.10, 100.0
38.78, 27.5
42.93, 15.0
48.66, 37.6
61.41, 20.0
67.32, 19.7
82.01, 17.8

Atomic structure:
Lattice parameters (Å, degrees): 6.482 6.482 16.637 90.00 90.00 120.00
Atoms (fractional coordinates):
Ta  0.000  0.000  0.250
Ta  0.000  0.000  0.750
Ta  0.333  0.667  0.250
Ta  0.333  0.667  0.750
Ta  0.667  0.333  0.250
Ta  0.667  0.333  0.750
Te  0.000  0.338  0.142
Te  0.000  0.338  0.358
Te  0.000  0.662  0.642
Te  0.000  0.662  0.858
Te  0.338  0.000  0.142
Te  0.338  0.000  0.358
Te  0.338  0.338  0.642
Te  0.338  0.338  0.858
Te  0.662  0.000  0.642
Te  0.662  0.000  0.858
Te  0.662  0.662  0.142
Te  0.662  0.662  0.358
Pb  0.000  0.000  0.000
Pb  0.000  0.000  0.500

(2)
Theoretical powder X-ray diffraction pattern
Compound: KCuTe2WSe
Radiation: Cu Ka
Structure: a structure optimized by DFT (PBE)

Main lines, in order of rising 2θ (2θ from 10° to 90°):
2θ/deg, Rel. int.
11.17, 100.0
17.54, 19.6
27.93, 32.5
29.32, 22.6
33.17, 47.4
35.51, 20.3
36.13, 14.8
40.43, 43.8
45.19, 16.4
45.79, 15.7

Atomic structure:
Lattice parameters (Å, degrees): 8.169 8.169 10.113 90.00 90.00 151.56
Atoms (fractional coordinates):
K  0.244  0.756  0.750
K  0.756  0.244  0.250
Cu  0.028  0.972  0.250
Cu  0.972  0.028  0.750
Te  0.120  0.880  0.043
Te  0.120  0.880  0.457
Te  0.880  0.120  0.543
Te  0.880  0.120  0.957
W  0.500  0.500  0.000
W  0.500  0.500  0.500
Se  0.440  0.560  0.250
Se  0.560  0.440  0.750